(1)
NdTcP2Ru: computed X-ray powder pattern (CuKα), based on a crystal structure in Alexandria, relaxed with GGA-PBE.

Structure:
a = 4.1406 Å, b = 4.1406 Å, c = 9.8837 Å
α = 90.00°, β = 90.00°, γ = 90.00°
Space group I-4m2 (No. 119)
Symmetry-distinct sites (fractional):
Nd 0.0000 0.0000 0.0000 x2
Tc 0.0000 0.5000 0.7500 x2
P 0.0000 0.0000 0.3643 x4
Ru 0.0000 0.5000 0.2500 x2

The 10 most intense peaks (5 to 70 degrees two-theta), low angle first:
- d = 3.819 Å, 2θ 23.29, I = 266
- d = 2.578 Å, 2θ 34.80, I = 353
- d = 2.519 Å, 2θ 35.64, I = 1000
- d = 2.471 Å, 2θ 36.36, I = 172
- d = 2.070 Å, 2θ 43.72, I = 403
- d = 1.784 Å, 2θ 51.21, I = 89
- d = 1.614 Å, 2θ 57.06, I = 165
- d = 1.587 Å, 2θ 58.13, I = 176
- d = 1.464 Å, 2θ 63.55, I = 130
- d = 1.436 Å, 2θ 64.96, I = 202


(2)
Nd4PS3: computed X-ray powder pattern (CuKα), based on a crystal structure in Alexandria, relaxed with GGA-PBE.

Structure:
a = 8.2220 Å, b = 11.5822 Å, c = 4.0886 Å
α = 90.00°, β = 90.00°, γ = 90.00°
Space group Cmmm (No. 65)
Symmetry-distinct sites (fractional):
Nd 0.0000 0.2459 0.0000 x4
Nd 0.2435 0.0000 0.5000 x4
P 0.0000 0.0000 0.0000 x2
S 0.0000 0.5000 0.0000 x2
S 0.2500 0.2500 0.5000 x4

The 10 most intense peaks (5 to 70 degrees two-theta), low angle first:
- d = 3.346 Å, 2θ 26.64, I = 752
- d = 2.898 Å, 2θ 30.86, I = 1000
- d = 2.233 Å, 2θ 40.39, I = 6
- d = 2.056 Å, 2θ 44.05, I = 122
- d = 2.048 Å, 2θ 44.23, I = 604
- d = 1.751 Å, 2θ 52.26, I = 124
- d = 1.746 Å, 2θ 52.41, I = 247
- d = 1.676 Å, 2θ 54.77, I = 126
- d = 1.670 Å, 2θ 54.98, I = 126
- d = 1.449 Å, 2θ 64.29, I = 116


(3)
Nd6P2S3: computed X-ray powder pattern (CuKα), based on a crystal structure in Alexandria, relaxed with GGA-PBE.

Structure:
a = 6.9490 Å, b = 6.9490 Å, c = 6.9330 Å
α = 90.00°, β = 90.00°, γ = 120.00°
Space group P-31m (No. 162)
Symmetry-distinct sites (fractional):
Nd 0.0000 0.3357 0.2563 x6
P 0.3333 0.6667 0.5000 x2
S 0.0000 0.0000 0.5000 x1
S 0.3333 0.6667 0.0000 x2

The 10 most intense peaks (5 to 70 degrees two-theta), low angle first:
- d = 3.469 Å, 2θ 25.68, I = 273
- d = 3.106 Å, 2θ 28.74, I = 1000
- d = 2.454 Å, 2θ 36.62, I = 329
- d = 2.006 Å, 2θ 45.20, I = 268
- d = 1.924 Å, 2θ 47.24, I = 257
- d = 1.736 Å, 2θ 52.72, I = 180
- d = 1.733 Å, 2θ 52.82, I = 55
- d = 1.685 Å, 2θ 54.45, I = 167
- d = 1.553 Å, 2θ 59.54, I = 98
- d = 1.389 Å, 2θ 67.44, I = 88


(4)
Nd3PS: computed X-ray powder pattern (CuKα), based on a crystal structure in Alexandria, relaxed with GGA-PBE.

Structure:
a = 6.7571 Å, b = 6.7571 Å, c = 3.6951 Å
α = 90.00°, β = 90.00°, γ = 120.00°
Space group P-6 (No. 174)
Symmetry-distinct sites (fractional):
Nd 0.0073 0.6714 0.0000 x3
P 0.3333 0.6667 0.5000 x1
S 0.0000 0.0000 0.5000 x1

The 10 most intense peaks (5 to 70 degrees two-theta), low angle first:
- d = 5.852 Å, 2θ 15.14, I = 39
- d = 3.695 Å, 2θ 24.08, I = 289
- d = 3.379 Å, 2θ 26.38, I = 843
- d = 2.493 Å, 2θ 36.02, I = 1000
- d = 1.951 Å, 2θ 46.56, I = 269
- d = 1.848 Å, 2θ 49.32, I = 76
- d = 1.725 Å, 2θ 53.09, I = 208
- d = 1.689 Å, 2θ 54.30, I = 115
- d = 1.621 Å, 2θ 56.79, I = 207
- d = 1.536 Å, 2θ 60.24, I = 220


(5)
Nd4SnPS2: computed X-ray powder pattern (CuKα), based on a crystal structure in Alexandria, relaxed with GGA-PBE.

Structure:
a = 7.2976 Å, b = 4.2118 Å, c = 7.3596 Å
α = 90.00°, β = 109.50°, γ = 90.00°
Space group P2/m (No. 10)
Symmetry-distinct sites (fractional):
Nd 0.2395 0.0000 0.2348 x2
Nd 0.2500 0.5000 0.7604 x2
Sn 0.5000 0.5000 0.5000 x1
P 0.5000 0.0000 0.0000 x1
S 0.0000 0.0000 0.5000 x1
S 0.0000 0.5000 0.0000 x1

The 10 most intense peaks (5 to 70 degrees two-theta), low angle first:
- d = 3.469 Å, 2θ 25.68, I = 94
- d = 3.443 Å, 2θ 25.88, I = 287
- d = 2.987 Å, 2θ 29.91, I = 1000
- d = 2.120 Å, 2θ 42.65, I = 245
- d = 2.115 Å, 2θ 42.76, I = 120
- d = 2.106 Å, 2θ 42.94, I = 371
- d = 1.797 Å, 2θ 50.80, I = 77
- d = 1.734 Å, 2θ 52.78, I = 62
- d = 1.721 Å, 2θ 53.21, I = 195
- d = 1.492 Å, 2θ 62.21, I = 79


(6)
NdYPS: computed X-ray powder pattern (CuKα), based on a crystal structure in Alexandria, relaxed with GGA-PBE.

Structure:
a = 4.0391 Å, b = 4.0391 Å, c = 19.9469 Å
α = 90.00°, β = 90.00°, γ = 120.00°
Space group R3m (No. 160, hexagonal axes)
Symmetry-distinct sites (fractional):
Nd 0.0000 0.0000 0.0000 x3
Y 0.0000 0.0000 0.5058 x3
P 0.0000 0.0000 0.2494 x3
S 0.0000 0.0000 0.7566 x3

The 10 most intense peaks (5 to 70 degrees two-theta), low angle first:
- d = 3.324 Å, 2θ 26.82, I = 157
- d = 3.301 Å, 2θ 27.01, I = 465
- d = 2.864 Å, 2θ 31.23, I = 1000
- d = 2.030 Å, 2θ 44.63, I = 355
- d = 2.020 Å, 2θ 44.88, I = 357
- d = 1.733 Å, 2θ 52.84, I = 75
- d = 1.726 Å, 2θ 53.06, I = 150
- d = 1.723 Å, 2θ 53.17, I = 75
- d = 1.650 Å, 2θ 55.69, I = 185
- d = 1.432 Å, 2θ 65.15, I = 112


(7)
Nd4SbPSe2: computed X-ray powder pattern (CuKα), based on a crystal structure in Alexandria, relaxed with GGA-PBE.

Structure:
a = 7.4194 Å, b = 4.2851 Å, c = 7.5004 Å
α = 90.00°, β = 109.39°, γ = 90.00°
Space group P2/m (No. 10)
Symmetry-distinct sites (fractional):
Nd 0.2388 0.0000 0.2317 x2
Nd 0.2492 0.5000 0.7662 x2
Sb 0.0000 0.0000 0.5000 x1
P 0.0000 0.5000 0.0000 x1
Se 0.5000 0.0000 0.0000 x1
Se 0.5000 0.5000 0.5000 x1

The 10 most intense peaks (5 to 70 degrees two-theta), low angle first:
- d = 3.502 Å, 2θ 25.43, I = 126
- d = 3.041 Å, 2θ 29.37, I = 1000
- d = 2.158 Å, 2θ 41.86, I = 364
- d = 2.142 Å, 2θ 42.19, I = 375
- d = 1.769 Å, 2θ 51.68, I = 61
- d = 1.751 Å, 2θ 52.24, I = 197
- d = 1.520 Å, 2θ 60.97, I = 79
- d = 1.365 Å, 2θ 68.79, I = 102
- d = 1.362 Å, 2θ 68.92, I = 51
- d = 1.356 Å, 2θ 69.30, I = 167


(8)
NdSmSbP: computed X-ray powder pattern (CuKα), based on a crystal structure in Alexandria, relaxed with GGA-PBE.

Structure:
a = 4.2838 Å, b = 4.2838 Å, c = 21.4396 Å
α = 90.00°, β = 90.00°, γ = 120.00°
Space group R3m (No. 160, hexagonal axes)
Symmetry-distinct sites (fractional):
Nd 0.0000 0.0000 0.0000 x3
Sm 0.0000 0.0000 0.4843 x3
Sb 0.0000 0.0000 0.2410 x3
P 0.0000 0.0000 0.7432 x3

The 10 most intense peaks (5 to 70 degrees two-theta), low angle first:
- d = 3.656 Å, 2θ 24.35, I = 88
- d = 3.506 Å, 2θ 25.41, I = 142
- d = 3.050 Å, 2θ 29.28, I = 1000
- d = 2.806 Å, 2θ 31.90, I = 107
- d = 2.172 Å, 2θ 41.57, I = 354
- d = 2.142 Å, 2θ 42.19, I = 377
- d = 1.753 Å, 2θ 52.18, I = 197
- d = 1.525 Å, 2θ 60.72, I = 115
- d = 1.372 Å, 2θ 68.37, I = 140
- d = 1.357 Å, 2θ 69.26, I = 167


(9)
Nd6P3Se2: computed X-ray powder pattern (CuKα), based on a crystal structure in Alexandria, relaxed with GGA-PBE.

Structure:
a = 7.2047 Å, b = 12.4556 Å, c = 7.2984 Å
α = 90.00°, β = 109.29°, γ = 90.00°
Space group C2/m (No. 12)
Symmetry-distinct sites (fractional):
Nd 0.2430 0.1684 0.2346 x8
Nd 0.2476 0.5000 0.2292 x4
P 0.0000 0.0000 0.0000 x2
P 0.0000 0.3311 0.0000 x4
Se 0.0000 0.1658 0.5000 x4

The 10 most intense peaks (5 to 70 degrees two-theta), low angle first:
- d = 3.444 Å, 2θ 25.87, I = 142
- d = 3.399 Å, 2θ 26.22, I = 431
- d = 2.953 Å, 2θ 30.26, I = 1000
- d = 2.099 Å, 2θ 43.10, I = 358
- d = 2.078 Å, 2θ 43.56, I = 370
- d = 1.792 Å, 2θ 50.96, I = 62
- d = 1.779 Å, 2θ 51.35, I = 133
- d = 1.773 Å, 2θ 51.55, I = 70
- d = 1.699 Å, 2θ 53.96, I = 193
- d = 1.476 Å, 2θ 62.99, I = 77


(10)
Nd8P4Se3: computed X-ray powder pattern (CuKα), based on a crystal structure in Alexandria, relaxed with GGA-PBE.

Structure:
a = 11.8053 Å, b = 11.8284 Å, c = 8.3439 Å
α = 90.00°, β = 134.82°, γ = 90.00°
Space group C2/m (No. 12)
Symmetry-distinct sites (fractional):
Nd 0.0000 0.2434 0.0000 x4
Nd 0.0000 0.2440 0.5000 x4
Nd 0.2363 0.0000 0.9845 x4
Nd 0.2422 0.0000 0.4904 x4
P 0.0000 0.0000 0.0000 x2
P 0.0000 0.0000 0.5000 x2
P 0.2500 0.2500 0.5000 x4
Se 0.0000 0.5000 0.0000 x2
Se 0.2500 0.2500 0.0000 x4

The 10 most intense peaks (5 to 70 degrees two-theta), low angle first:
- d = 3.413 Å, 2θ 26.11, I = 516
- d = 2.956 Å, 2θ 30.24, I = 1000
- d = 2.091 Å, 2θ 43.27, I = 611
- d = 2.086 Å, 2θ 43.38, I = 124
- d = 1.785 Å, 2θ 51.19, I = 81
- d = 1.782 Å, 2θ 51.26, I = 124
- d = 1.709 Å, 2θ 53.64, I = 127
- d = 1.705 Å, 2θ 53.78, I = 130
- d = 1.479 Å, 2θ 62.83, I = 79
- d = 1.356 Å, 2θ 69.30, I = 49


(11)
NdSm2ZrP4: computed X-ray powder pattern (CuKα), based on a crystal structure in Alexandria, relaxed with GGA-PBE.

Structure:
a = 6.9606 Å, b = 4.0178 Å, c = 6.9690 Å
α = 90.00°, β = 109.22°, γ = 90.00°
Space group P2/m (No. 10)
Symmetry-distinct sites (fractional):
Nd 0.0000 0.0000 0.0000 x1
Sm 0.5000 0.0000 0.5000 x1
Sm 0.5000 0.5000 0.0000 x1
Zr 0.0000 0.5000 0.5000 x1
P 0.2355 0.0000 0.7332 x2
P 0.2436 0.5000 0.2613 x2

The 10 most intense peaks (5 to 70 degrees two-theta), low angle first:
- d = 3.284 Å, 2θ 27.15, I = 754
- d = 2.844 Å, 2θ 31.46, I = 1000
- d = 2.017 Å, 2θ 44.95, I = 120
- d = 2.010 Å, 2θ 45.11, I = 600
- d = 1.718 Å, 2θ 53.33, I = 124
- d = 1.714 Å, 2θ 53.47, I = 244
- d = 1.644 Å, 2θ 55.93, I = 125
- d = 1.640 Å, 2θ 56.08, I = 125
- d = 1.423 Å, 2θ 65.59, I = 77
- d = 1.420 Å, 2θ 65.79, I = 38